The following is a theoretical X-ray diffraction stick pattern of Sr3CaMn2FeO10. It was derived from the PBE+U geometry in Alexandria, using Cu Kα.
Lines closer than 0.1° are merged.

The 6 most intense peaks (10° ≤ 2θ ≤ 90°), sorted by position:
| 2θ/deg | I/Imax |
| --- | --- |
| 32.2 | 100 |
| 32.8 | 64 |
| 41.9 | 19 |
| 47.0 | 45 |
| 58.1 | 36 |
| 67.3 | 17 |

Structural model:
a = 3.8668 Å, b = 3.8668 Å, c = 28.0297 Å
α = 90.00°, β = 90.00°, γ = 90.00°
Space group I4mm (No. 107)
One atom of each set of equivalent atoms:
Sr 0.0000 0.0000 0.0000 [2 per cell]
Sr 0.0000 0.0000 0.1333 [2 per cell]
Sr 0.0000 0.0000 0.4030 [2 per cell]
Ca 0.0000 0.0000 0.2713 [2 per cell]
Mn 0.0000 0.0000 0.5620 [2 per cell]
Mn 0.0000 0.0000 0.8413 [2 per cell]
Fe 0.0000 0.0000 0.7033 [2 per cell]
O 0.0000 0.0000 0.4927 [2 per cell]
O 0.0000 0.0000 0.6323 [2 per cell]
O 0.0000 0.0000 0.7730 [2 per cell]
O 0.0000 0.0000 0.9102 [2 per cell]
O 0.0000 0.5000 0.0636 [4 per cell]
O 0.0000 0.5000 0.2048 [4 per cell]
O 0.0000 0.5000 0.3384 [4 per cell]